Record 1
For MgSn, DFT lattice parameters and positions (GGA-PBE) gives the computed powder diffraction line list in this record (Cu Kα).

Cell and atoms:
abc: 12.7659 3.3085 7.4760
angles: 90.00 107.30 90.00
Space group Cm (No. 8)
Symmetry-distinct sites (fractional):
Mg (0.0000, 0.0000, 0.0000) x2
Mg (0.1086, 0.5000, 0.7211) x2
Mg (0.3324, 0.0000, 0.6590) x2
Sn (0.1627, 0.5000, 0.3334) x2
Sn (0.2761, 0.0000, 0.0344) x2
Sn (0.4470, 0.5000, 0.3971) x2

Principal peaks in the range 2θ = 5–70°, low angle first:
Position (°2θ), Rel. int., hkl
12.40, 93, 0 0 1
21.81, 29, 2 0 1
29.75, 40, 1 1 -1
31.57, 48, 1 1 1
32.47, 76, 4 0 -2
34.97, 100, 3 1 0
35.30, 46, 4 0 1
36.26, 91, 1 1 -2
37.81, 39, 0 0 3
57.57, 29, 3 1 3

---

Record 2
For Mg3Sn, DFT lattice parameters and positions (GGA-PBE) gives the computed powder diffraction line list in this record (Cu Kα).

Cell and atoms:
abc: 3.4573 10.2584 5.3236
angles: 90.00 90.00 90.00
Space group Imm2 (No. 44)
Symmetry-distinct sites (fractional):
Mg (0.0000, 0.0000, 0.0000) x2
Mg (0.0000, 0.2489, 0.3386) x4
Sn (0.0000, 0.5000, 0.0033) x2

Principal peaks in the range 2θ = 5–70°, low angle first:
Position (°2θ), Rel. int., hkl
17.29, 40, 0 2 0
18.78, 67, 0 1 1
27.22, 28, 1 1 0
30.84, 37, 1 0 1
31.09, 20, 0 3 1
34.99, 32, 0 4 0
35.57, 100, 1 2 1
38.09, 41, 0 2 2
47.32, 23, 1 4 1
63.13, 19, 1 6 1

---

Record 3
For MgSn, DFT lattice parameters and positions (GGA-PBE) gives the computed powder diffraction line list in this record (Cu Kα).

Cell and atoms:
abc: 5.5904 3.3966 15.7597
angles: 90.00 90.00 90.00
Space group Amm2 (No. 38)
Symmetry-distinct sites (fractional):
Mg (0.0000, 0.0000, 0.0000) x2
Mg (0.0000, 0.0000, 0.3345) x2
Mg (0.5000, 0.0000, 0.8891) x2
Sn (0.0000, 0.0000, 0.6652) x2
Sn (0.5000, 0.0000, 0.2302) x2
Sn (0.5000, 0.0000, 0.5481) x2

Principal peaks in the range 2θ = 5–70°, low angle first:
Position (°2θ), Rel. int., hkl
11.23, 68, 0 0 2
27.70, 31, 1 0 4
31.35, 49, 0 1 3
32.02, 44, 2 0 0
35.33, 100, 1 1 3
37.84, 41, 1 0 6
45.43, 19, 2 1 3
59.26, 34, 3 1 3
67.82, 15, 1 2 6
69.07, 18, 2 1 9

---

Record 4
For Mg3Sn, DFT lattice parameters and positions (GGA-PBE) gives the computed powder diffraction line list in this record (Cu Kα).

Cell and atoms:
abc: 4.4920 4.4920 4.4920
angles: 90.00 90.00 90.00
Space group Pm-3m (No. 221)
Symmetry-distinct sites (fractional):
Mg (0.0000, 0.0000, 0.5000) x3
Sn (0.5000, 0.5000, 0.5000) x1

Principal peaks in the range 2θ = 5–70°, low angle first:
Position (°2θ), Rel. int., hkl
19.76, 67, 1 0 0
28.09, 59, 1 1 0
34.59, 100, 1 1 1
40.15, 50, 2 0 0
45.13, 34, 2 1 0
49.72, 26, 2 1 1
58.08, 34, 2 2 0
61.98, 17, 3 0 0
65.74, 12, 3 1 0
69.39, 40, 3 1 1

---

Record 5
For MgSn, DFT lattice parameters and positions (GGA-PBE) gives the computed powder diffraction line list in this record (Cu Kα).

Cell and atoms:
abc: 3.3359 3.3359 10.4920
angles: 90.00 90.00 120.00
Space group P-3m1 (No. 164)
Symmetry-distinct sites (fractional):
Mg (0.3333, 0.6667, 0.1193) x2
Sn (0.3333, 0.6667, 0.6402) x2

Principal peaks in the range 2θ = 5–70°, low angle first:
Position (°2θ), Rel. int., hkl
8.43, 92, 0 0 1
25.47, 20, 0 0 3
30.95, 24, 1 0 0
32.14, 42, 1 0 1
34.18, 22, 0 0 4
35.47, 100, 0 1 2
46.78, 18, 1 0 4
55.06, 20, 1 1 0
62.04, 17, 0 1 6
66.42, 20, 1 1 4

---

Record 6
For Mg3Sn, DFT lattice parameters and positions (GGA-PBE) gives the computed powder diffraction line list in this record (Cu Kα).

Cell and atoms:
abc: 3.3269 3.3269 9.9885
angles: 90.00 90.00 120.00
Space group P-6m2 (No. 187)
Symmetry-distinct sites (fractional):
Mg (0.0000, 0.0000, 0.0000) x1
Mg (0.3333, 0.6667, 0.2490) x2
Sn (0.0000, 0.0000, 0.5000) x1

Principal peaks in the range 2θ = 5–70°, low angle first:
Position (°2θ), Rel. int., hkl
8.85, 96, 0 0 1
17.76, 22, 0 0 2
31.04, 32, 1 0 0
32.34, 32, 1 0 1
35.98, 100, 0 0 4
41.45, 16, 1 0 3
48.23, 19, 1 0 4
55.22, 16, 1 1 0
64.67, 19, 1 0 6
67.68, 29, 1 1 4

---

Record 7
For MgSn, DFT lattice parameters and positions (GGA-PBE) gives the computed powder diffraction line list in this record (Cu Kα).

Cell and atoms:
abc: 11.3518 3.3086 5.3945
angles: 90.00 106.25 90.00
Space group C2/m (No. 12)
Symmetry-distinct sites (fractional):
Mg (0.1256, 0.0000, 0.2914) x4
Sn (0.1190, 0.5000, 0.7797) x4

Principal peaks in the range 2θ = 5–70°, low angle first:
Position (°2θ), Rel. int., hkl
20.08, 100, 2 0 -1
26.86, 54, 2 0 1
28.19, 53, 1 1 0
31.91, 47, 1 1 -1
32.87, 76, 4 0 0
34.38, 92, 1 1 1
34.64, 57, 0 0 2
37.59, 84, 3 1 -1
40.81, 33, 4 0 -2
59.43, 29, 3 1 -3

---

Record 8
For MgSn, DFT lattice parameters and positions (GGA-PBE) gives the computed powder diffraction line list in this record (Cu Kα).

Cell and atoms:
abc: 3.4010 3.4010 4.9034
angles: 90.00 90.00 120.00
Space group P-6m2 (No. 187)
Symmetry-distinct sites (fractional):
Mg (0.0000, 0.0000, 0.0000) x1
Sn (0.6667, 0.3333, 0.5000) x1

Principal peaks in the range 2θ = 5–70°, low angle first:
Position (°2θ), Rel. int., hkl
18.09, 42, 0 0 1
30.35, 50, 1 0 0
35.56, 100, 1 0 1
36.65, 18, 0 0 2
48.30, 29, 1 0 2
53.92, 18, 1 1 0
57.35, 13, 1 1 1
65.29, 18, 1 0 3
66.27, 17, 2 0 1
66.97, 19, 1 1 2

---

Record 9
For Mg5Sn, DFT lattice parameters and positions (GGA-PBE) gives the computed powder diffraction line list in this record (Cu Kα).

Cell and atoms:
abc: 3.2486 3.2486 15.4886
angles: 90.00 90.00 120.00
Space group P-6m2 (No. 187)
Symmetry-distinct sites (fractional):
Mg (0.0000, 0.0000, 0.0000) x1
Mg (0.0000, 0.0000, 0.3359) x2
Mg (0.6667, 0.3333, 0.1661) x2
Sn (0.6667, 0.3333, 0.5000) x1

Principal peaks in the range 2θ = 5–70°, low angle first:
Position (°2θ), Rel. int., hkl
5.71, 100, 0 0 1
11.43, 25, 0 0 2
31.81, 17, 1 0 0
32.34, 13, 1 0 1
33.90, 12, 1 0 2
34.75, 12, 0 0 6
36.37, 52, 1 0 3
47.82, 11, 1 0 6
63.35, 10, 1 0 9
68.22, 10, 1 1 6

---

Record 10
For Mg3Sn, DFT lattice parameters and positions (GGA-PBE) gives the computed powder diffraction line list in this record (Cu Kα).

Cell and atoms:
abc: 4.4171 4.4171 9.3861
angles: 90.00 90.00 90.00
Space group I4/mmm (No. 139)
Symmetry-distinct sites (fractional):
Mg (0.0000, 0.0000, 0.0000) x2
Mg (0.0000, 0.5000, 0.2500) x4
Sn (0.0000, 0.0000, 0.5000) x2

Principal peaks in the range 2θ = 5–70°, low angle first:
Position (°2θ), Rel. int., hkl
18.91, 25, 0 0 2
22.24, 68, 1 0 1
28.58, 19, 1 1 0
34.49, 100, 1 1 2
35.15, 22, 1 0 3
38.36, 19, 0 0 4
40.86, 31, 2 0 0
47.01, 20, 2 1 1
57.29, 23, 2 0 4
66.89, 15, 1 1 6

---

Record 11
For MgSn, DFT lattice parameters and positions (GGA-PBE) gives the computed powder diffraction line list in this record (Cu Kα).

Cell and atoms:
abc: 3.3176 3.3176 4.3730
angles: 90.00 90.00 90.00
Space group P4/mmm (No. 123)
Symmetry-distinct sites (fractional):
Mg (0.0000, 0.0000, 0.0000) x1
Sn (0.5000, 0.5000, 0.5000) x1

Principal peaks in the range 2θ = 5–70°, low angle first:
Position (°2θ), Rel. int., hkl
20.31, 37, 0 0 1
26.87, 38, 1 0 0
33.92, 100, 1 0 1
38.37, 36, 1 1 0
41.29, 15, 0 0 2
43.79, 21, 1 1 1
49.96, 15, 1 0 2
55.39, 13, 2 0 0
57.63, 22, 1 1 2
66.56, 29, 2 1 1

---

Record 12
For MgSn, DFT lattice parameters and positions (GGA-PBE) gives the computed powder diffraction line list in this record (Cu Kα).

Cell and atoms:
abc: 3.6612 3.6612 3.6612
angles: 90.00 90.00 90.00
Space group Pm-3m (No. 221)
Symmetry-distinct sites (fractional):
Mg (0.0000, 0.0000, 0.0000) x1
Sn (0.5000, 0.5000, 0.5000) x1

Principal peaks in the range 2θ = 5–70°, low angle first:
Position (°2θ), Rel. int., hkl
24.31, 51, 1 0 0
34.65, 100, 1 1 0
42.78, 16, 1 1 1
49.81, 18, 2 0 0
56.18, 22, 2 1 0
62.10, 38, 2 1 1

---

Record 13
For Mg3Sn, DFT lattice parameters and positions (GGA-PBE) gives the computed powder diffraction line list in this record (Cu Kα).

Cell and atoms:
abc: 6.3289 6.3289 5.2695
angles: 90.00 90.00 120.00
Space group P-3 (No. 147)
Symmetry-distinct sites (fractional):
Mg (0.1578, 0.3313, 0.2510) x6
Sn (0.3333, 0.6667, 0.7479) x2

Principal peaks in the range 2θ = 5–70°, low angle first:
Position (°2θ), Rel. int., hkl
16.17, 28, 1 0 0
23.42, 74, 1 0 1
28.20, 31, 1 1 0
32.68, 23, 2 0 0
34.03, 28, 0 0 2
36.97, 100, 0 2 1
44.76, 19, 2 -1 2
47.14, 24, 3 -1 1
62.84, 21, 0 2 3
69.27, 21, 2 2 2

---

Record 14
For Mg5Sn, DFT lattice parameters and positions (GGA-PBE) gives the computed powder diffraction line list in this record (Cu Kα).

Cell and atoms:
abc: 5.5308 5.5308 15.7364
angles: 90.00 90.00 120.00
Space group R32 (No. 155, hexagonal axes)
Symmetry-distinct sites (fractional):
Mg (0.0000, 0.0000, 0.1669) x6
Mg (0.9998, 0.6665, 0.3333) x9
Sn (0.0000, 0.0000, 0.5000) x3

Principal peaks in the range 2θ = 5–70°, low angle first:
Position (°2θ), Rel. int., hkl
16.90, 20, 0 0 3
19.37, 45, 1 0 1
21.72, 34, 0 1 2
32.37, 32, 1 1 0
34.19, 26, 0 0 6
36.74, 100, 1 1 3
47.78, 26, 1 1 6
57.74, 17, 3 0 0
62.89, 21, 1 1 9
68.84, 20, 3 0 6

---

Record 15
For MgSn, DFT lattice parameters and positions (GGA-PBE) gives the computed powder diffraction line list in this record (Cu Kα).

Cell and atoms:
abc: 5.9936 5.9936 5.9936
angles: 90.00 90.00 90.00
Space group Fm-3m (No. 225)
Symmetry-distinct sites (fractional):
Mg (0.0000, 0.0000, 0.0000) x4
Sn (0.0000, 0.0000, 0.5000) x4

Principal peaks in the range 2θ = 5–70°, low angle first:
Position (°2θ), Rel. int., hkl
25.75, 80, 1 1 1
29.81, 100, 2 0 0
42.67, 76, 2 2 0
50.50, 41, 3 1 1
52.92, 27, 2 2 2
61.93, 13, 4 0 0
68.20, 18, 3 3 1

---

Record 16
For Mg7Sn, DFT lattice parameters and positions (GGA-PBE) gives the computed powder diffraction line list in this record (Cu Kα).

Cell and atoms:
abc: 6.4330 6.4330 5.1332
angles: 90.00 90.00 120.00
Space group P-6m2 (No. 187)
Symmetry-distinct sites (fractional):
Mg (0.0000, 0.0000, 0.0000) x1
Mg (0.0056, 0.5028, 0.0000) x3
Mg (0.1664, 0.3328, 0.5000) x3
Sn (0.6667, 0.3333, 0.5000) x1

Principal peaks in the range 2θ = 5–70°, low angle first:
Position (°2θ), Rel. int., hkl
15.91, 46, 1 0 0
23.57, 41, 1 0 1
32.13, 30, 2 0 0
32.86, 17, 1 1 1
34.96, 25, 0 0 2
36.71, 100, 2 0 1
48.21, 19, 2 0 2
57.29, 17, 2 2 0
63.84, 19, 2 0 3
68.90, 20, 2 2 2